(1)
TbGdHg: computed PXRD pattern (CuKα), based on a crystal structure in Alexandria, relaxed with GGA-PBE.
Lines closer than 0.1° are merged.

Top 8 peaks for 10° ≤ 2θ ≤ 80°, by angle:
- 32.29°, I = 100
- 34.50°, I = 44
- 42.84°, I = 10
- 49.59°, I = 16
- 56.13°, I = 19
- 60.42°, I = 34
- 67.58°, I = 11
- 71.83°, I = 7

a = 6.8456 Å, b = 6.8456 Å, c = 6.8456 Å
α = 148.85°, β = 148.85°, γ = 44.63°
Positions (direct):
1 Tb 0.0000 0.0000 0.0000
2 Gd 0.3059 0.3059 0.0000
3 Hg 0.6492 0.6492 0.0000

(2)
SmThNi2P2: computed PXRD pattern (CuKα), based on a crystal structure in Alexandria, relaxed with GGA-PBE.
Lines closer than 0.1° are merged.

Top 8 peaks for 10° ≤ 2θ ≤ 80°, by angle:
- 25.97°, I = 35
- 34.44°, I = 100
- 45.34°, I = 11
- 45.81°, I = 32
- 53.00°, I = 11
- 58.55°, I = 22
- 66.43°, I = 21
- 77.35°, I = 19

a = 3.9618 Å, b = 3.9618 Å, c = 8.0000 Å
α = 90.00°, β = 90.00°, γ = 120.00°
Positions (direct):
1 Sm 0.0000 0.0000 0.0000
2 Th 0.0000 0.0000 0.5000
3 Ni 0.3333 0.6667 0.7388
4 Ni 0.6667 0.3333 0.2612
5 P 0.3333 0.6667 0.2416
6 P 0.6667 0.3333 0.7584

What did the first record say?
TbGdHg: computed PXRD pattern (CuKα), based on a crystal structure in Alexandria, relaxed with GGA-PBE.
Lines closer than 0.1° are merged.

Top 8 peaks for 10° ≤ 2θ ≤ 80°, by angle:
- 32.29°, I = 100
- 34.50°, I = 44
- 42.84°, I = 10
- 49.59°, I = 16
- 56.13°, I = 19
- 60.42°, I = 34
- 67.58°, I = 11
- 71.83°, I = 7

a = 6.8456 Å, b = 6.8456 Å, c = 6.8456 Å
α = 148.85°, β = 148.85°, γ = 44.63°
Positions (direct):
1 Tb 0.0000 0.0000 0.0000
2 Gd 0.3059 0.3059 0.0000
3 Hg 0.6492 0.6492 0.0000